Entry 1:
This entry pairs a crystal structure of SiTe2SI with its simulated powder X-ray diffraction pattern. Radiation: λ = 1.5418 Å (Cu Kα). Structure: a cell relaxed with GGA-PBE.
No peak broadening, texture or thermal motion is included.

Largest 10 diffraction maxima, most intense first, 10° ≤ 2θ ≤ 90°:
2θ/deg, d (Å), intensity
29.13, 3.065, 100.0
33.57, 2.670, 45.5
48.65, 1.872, 31.2
57.32, 1.607, 28.8
34.17, 2.624, 21.7
16.60, 5.340, 20.0
60.40, 1.533, 16.2
48.20, 1.888, 16.1
58.11, 1.587, 13.8
78.77, 1.215, 11.3

Crystal structure
Unit cell a=5.340 b=5.340 c=5.249 alpha=90.00 beta=90.00 gamma=90.00
Positions (direct):
Si  0.000  0.000  0.000
Te  0.000  0.500  0.000
Te  0.500  0.000  0.000
S  0.500  0.500  0.500
I  0.000  0.000  0.500

=====

Entry 2:
This entry pairs a crystal structure of Sn2S2I with its simulated powder X-ray diffraction pattern. Radiation: λ = 1.5418 Å (Cu Kα). Structure: a cell relaxed with GGA-PBE.
No peak broadening, texture or thermal motion is included.

Largest 10 diffraction maxima, most intense first, 10° ≤ 2θ ≤ 90°:
2θ/deg, d (Å), intensity
34.47, 2.602, 100.0
33.63, 2.665, 86.0
42.21, 2.141, 54.0
24.76, 3.596, 47.2
23.61, 3.769, 42.0
62.31, 1.490, 40.5
65.00, 1.435, 24.2
88.32, 1.107, 16.7
46.33, 1.960, 14.9
50.78, 1.798, 14.1

Crystal structure
Unit cell a=8.427 b=8.427 c=3.596 alpha=90.00 beta=90.00 gamma=90.00
Positions (direct):
Sn  0.144  0.356  0.000
Sn  0.356  0.856  0.000
Sn  0.644  0.144  0.000
Sn  0.856  0.644  0.000
S  0.132  0.632  0.500
S  0.368  0.132  0.500
S  0.632  0.868  0.500
S  0.868  0.368  0.500
I  0.000  0.000  0.000
I  0.500  0.500  0.000

=====

Entry 3:
This entry pairs a crystal structure of Sn7S2I6 with its simulated powder X-ray diffraction pattern. Radiation: λ = 1.5418 Å (Cu Kα). Structure: a cell relaxed with GGA-PBE.
No peak broadening, texture or thermal motion is included.

Largest 10 diffraction maxima, most intense first, 10° ≤ 2θ ≤ 90°:
2θ/deg, d (Å), intensity
27.50, 3.244, 100.0
24.94, 3.571, 22.7
40.28, 2.239, 21.8
31.84, 2.811, 16.3
35.52, 2.528, 13.7
45.51, 1.993, 13.1
31.27, 2.861, 13.1
29.80, 2.998, 12.4
38.43, 2.343, 12.1
23.63, 3.765, 10.9

Crystal structure
Unit cell a=7.540 b=7.540 c=18.130 alpha=109.00 beta=109.00 gamma=34.55
Positions (direct):
Sn  0.000  0.000  0.000
Sn  0.215  0.215  0.283
Sn  0.377  0.377  0.523
Sn  0.406  0.406  0.061
Sn  0.594  0.594  0.939
Sn  0.623  0.623  0.477
Sn  0.785  0.785  0.717
S  0.194  0.194  0.423
S  0.806  0.806  0.577
I  0.116  0.116  0.625
I  0.268  0.268  0.891
I  0.449  0.449  0.749
I  0.551  0.551  0.251
I  0.732  0.732  0.109
I  0.884  0.884  0.375

=====

Entry 4:
This entry pairs a crystal structure of Sr2SI with its simulated powder X-ray diffraction pattern. Radiation: λ = 1.5418 Å (Cu Kα). Structure: a cell relaxed with GGA-PBE.
No peak broadening, texture or thermal motion is included.

Largest 10 diffraction maxima, most intense first, 10° ≤ 2θ ≤ 90°:
2θ/deg, d (Å), intensity
29.13, 3.066, 100.0
41.36, 2.183, 32.8
51.39, 1.778, 20.1
23.53, 3.781, 17.7
68.00, 1.379, 17.3
41.97, 2.153, 15.9
54.75, 1.677, 14.8
26.16, 3.407, 9.7
34.24, 2.619, 9.5
58.21, 1.585, 8.9

Crystal structure
Unit cell a=4.366 b=4.366 c=15.712 alpha=90.00 beta=90.00 gamma=120.00
Positions (direct):
Sr  0.333  0.667  0.099
Sr  0.333  0.667  0.401
Sr  0.667  0.333  0.599
Sr  0.667  0.333  0.901
S  0.000  0.000  0.000
S  0.000  0.000  0.500
I  0.333  0.667  0.750
I  0.667  0.333  0.250

=====

Entry 5:
This entry pairs a crystal structure of SrTlSI with its simulated powder X-ray diffraction pattern. Radiation: λ = 1.5418 Å (Cu Kα). Structure: a cell relaxed with GGA-PBE.
No peak broadening, texture or thermal motion is included.

Largest 10 diffraction maxima, most intense first, 10° ≤ 2θ ≤ 90°:
2θ/deg, d (Å), intensity
29.15, 3.064, 100.0
27.09, 3.292, 54.7
23.29, 3.820, 48.5
40.42, 2.231, 43.6
42.92, 2.107, 28.9
52.49, 1.743, 23.9
50.61, 1.804, 21.3
66.68, 1.403, 18.6
32.05, 2.793, 15.8
75.24, 1.263, 11.1

Crystal structure
Unit cell a=8.765 b=8.765 c=8.765 alpha=29.49 beta=29.49 gamma=29.49
Positions (direct):
Sr  0.000  0.000  0.000
Tl  0.797  0.797  0.797
S  0.392  0.392  0.392
I  0.581  0.581  0.581

=====

Entry 6:
This entry pairs a crystal structure of TaSI with its simulated powder X-ray diffraction pattern. Radiation: λ = 1.5418 Å (Cu Kα). Structure: a cell relaxed with GGA-PBE.
No peak broadening, texture or thermal motion is included.

Largest 10 diffraction maxima, most intense first, 10° ≤ 2θ ≤ 90°:
2θ/deg, d (Å), intensity
17.46, 5.078, 100.0
22.56, 3.941, 84.5
35.09, 2.557, 45.1
42.91, 2.108, 43.6
33.71, 2.659, 41.3
31.71, 2.822, 40.1
47.57, 1.912, 34.8
36.95, 2.433, 28.8
30.07, 2.972, 26.1
43.21, 2.094, 22.7

Crystal structure
Unit cell a=8.996 b=6.183 c=6.989 alpha=90.00 beta=98.33 gamma=90.00
Positions (direct):
Ta  0.078  0.144  0.407
Ta  0.078  0.356  0.907
Ta  0.922  0.644  0.093
Ta  0.922  0.856  0.593
S  0.100  0.741  0.869
S  0.100  0.759  0.369
S  0.900  0.241  0.631
S  0.900  0.259  0.131
I  0.313  0.160  0.158
I  0.313  0.340  0.658
I  0.687  0.660  0.342
I  0.687  0.840  0.842

=====

Entry 7:
This entry pairs a crystal structure of TcS4I with its simulated powder X-ray diffraction pattern. Radiation: λ = 1.5418 Å (Cu Kα). Structure: a cell relaxed with GGA-PBE.
No peak broadening, texture or thermal motion is included.

Largest 10 diffraction maxima, most intense first, 10° ≤ 2θ ≤ 90°:
2θ/deg, d (Å), intensity
14.29, 6.199, 100.0
16.48, 5.380, 83.7
21.51, 4.131, 25.6
22.23, 3.999, 24.7
36.87, 2.438, 24.4
45.32, 2.001, 18.0
34.98, 2.565, 14.9
35.59, 2.523, 13.6
28.80, 3.100, 13.4
33.86, 2.647, 13.4

Crystal structure
Unit cell a=5.812 b=8.348 c=8.652 alpha=78.57 beta=74.71 gamma=75.38
Positions (direct):
Tc  0.250  0.013  0.488
Tc  0.750  0.987  0.512
S  0.032  0.074  0.280
S  0.172  0.274  0.588
S  0.344  0.888  0.246
S  0.485  0.222  0.410
S  0.515  0.778  0.590
S  0.656  0.112  0.754
S  0.828  0.726  0.412
S  0.968  0.926  0.720
I  0.234  0.512  0.030
I  0.766  0.488  0.970

=====

Entry 8:
This entry pairs a crystal structure of TeS5I with its simulated powder X-ray diffraction pattern. Radiation: λ = 1.5418 Å (Cu Kα). Structure: a cell relaxed with GGA-PBE.
No peak broadening, texture or thermal motion is included.

Largest 10 diffraction maxima, most intense first, 10° ≤ 2θ ≤ 90°:
2θ/deg, d (Å), intensity
26.32, 3.387, 100.0
14.08, 6.291, 72.4
23.36, 3.808, 66.5
32.29, 2.772, 58.5
46.43, 1.956, 58.3
25.07, 3.553, 38.3
41.07, 2.198, 31.1
20.03, 4.433, 25.9
44.92, 2.018, 22.9
13.09, 6.765, 22.7

Crystal structure
Unit cell a=7.993 b=7.993 c=7.993 alpha=145.87 beta=127.23 gamma=64.36
Positions (direct):
Te  0.000  0.000  0.000
S  0.190  0.190  0.000
S  0.216  0.494  0.721
S  0.576  0.278  0.703
S  0.576  0.873  0.297
S  0.773  0.494  0.279
I  0.270  0.770  0.500

=====

Question: Which formula does entry 2 have?
Answer: Sn2S2I